ScSn: computed powder XRD pattern (Cu Kα (λ = 1.5418 Å)), based on the PBE geometry in the Materials Project.
Kinematic intensities with the Lorentz-polarization factor, no thermal factor.

Principal peaks in the range 10 to 80 degrees two-theta, in order of falling intensity:
2θ (°)	I/Imax	(hkl)
23.03	100	1 1 1
38.06	68	2 2 0
44.95	52	3 1 1
68.76	24	4 2 2
60.32	22	3 3 1
26.66	18	2 0 0
73.59	17	5 1 1
54.91	12	4 0 0
62.06	8	4 2 0
47.07	6	2 2 2

a = 6.6879 Å, b = 6.6879 Å, c = 6.6879 Å
α = 90.00°, β = 90.00°, γ = 90.00°
Space group F-43m (No. 216)
Unique sites:
Sc  0.0000  0.0000  0.0000 [4 per cell]
Sn  0.2500  0.2500  0.7500 [4 per cell]